# 1
For Hf8MgN8O4, a GGA-PBE-relaxed structure gives the computed powder diffraction line list in this record (CuKα).
Kinematic intensities with the Lorentz-polarization factor, no thermal factor.

Atomic structure:
Unit cell a=5.6675 b=5.7642 c=10.5899 alpha=93.33 beta=102.11 gamma=118.03
Positions (direct):
Hf1 0.0000 0.0000 0.0000
Hf2 0.0425 0.5489 0.6623
Hf3 0.1236 0.7111 0.2638
Hf4 0.3085 0.6864 0.9506
Hf5 0.3772 0.2221 0.6446
Hf6 0.6130 0.3216 0.9469
Hf7 0.7377 0.8753 0.7063
Hf8 0.8529 0.0845 0.3804
Mg1 0.5282 0.4272 0.3743
N1 0.1268 0.8808 0.8242
N2 0.1764 0.0651 0.3436
N3 0.4262 0.5246 0.7984
N4 0.6597 0.5330 0.5790
N5 0.6656 0.0245 0.0312
N6 0.8587 0.4177 0.3357
N7 0.9654 0.1537 0.5832
N8 0.9922 0.6500 0.0559
O1 0.3394 0.3647 0.0379
O2 0.3486 0.8473 0.6031
O3 0.4936 0.7324 0.3120
O4 0.7686 0.2794 0.7865

Main lines, by angle (2θ = 5–70°):
| 2theta | intensity |
| --- | --- |
| 8.7 | 82.2 |
| 26.3 | 100.0 |
| 30.4 | 31.2 |
| 31.1 | 59.9 |
| 31.6 | 42.1 |
| 31.8 | 57.2 |
| 33.4 | 40.1 |
| 35.3 | 31.5 |
| 40.2 | 62.6 |
| 56.5 | 26.5 |



# 2
For Mn3Ge, a GGA-PBE-relaxed structure gives the computed powder diffraction line list in this record (CuKα).
Kinematic intensities with the Lorentz-polarization factor, no thermal factor.

Atomic structure:
Unit cell a=3.6515 b=3.6515 c=3.6515 alpha=90.00 beta=90.00 gamma=90.00
Positions (direct):
Mn1 0.0000 0.0000 0.5000
Mn2 0.0000 0.5000 0.0000
Mn3 0.5000 0.0000 0.0000
Ge1 0.5000 0.5000 0.5000

Main lines, by angle (2θ = 5–70°):
| 2theta | intensity |
| --- | --- |
| 24.4 | 2.0 |
| 34.7 | 1.7 |
| 42.9 | 100.0 |
| 50.0 | 46.7 |
| 56.3 | 1.1 |
| 62.3 | 0.8 |



# 3
For SrUI6, a GGA-PBE-relaxed structure gives the computed powder diffraction line list in this record (CuKα).
Kinematic intensities with the Lorentz-polarization factor, no thermal factor.

Atomic structure:
Unit cell a=8.1015 b=8.1015 c=15.3260 alpha=95.86 beta=95.86 gamma=119.44
Positions (direct):
Sr1 0.0844 0.9156 0.7500
Sr2 0.9156 0.0844 0.2500
U1 0.4183 0.5817 0.7500
U2 0.5817 0.4183 0.2500
I1 0.0781 0.2351 0.6308
I2 0.1711 0.6396 0.8716
I3 0.2351 0.0781 0.1308
I4 0.3199 0.4620 0.3666
I5 0.3604 0.8289 0.6284
I6 0.4620 0.3199 0.8666
I7 0.5380 0.6801 0.1334
I8 0.6396 0.1711 0.3716
I9 0.6801 0.5380 0.6334
I10 0.7649 0.9219 0.8692
I11 0.8289 0.3604 0.1284
I12 0.9219 0.7649 0.3692

Main lines, by angle (2θ = 5–70°):
| 2theta | intensity |
| --- | --- |
| 11.8 | 42.2 |
| 12.7 | 30.8 |
| 13.1 | 22.1 |
| 22.2 | 20.0 |
| 23.4 | 22.6 |
| 27.0 | 100.0 |
| 27.3 | 47.7 |
| 38.3 | 37.1 |
| 38.6 | 21.0 |
| 39.2 | 35.9 |